# Ho3Ga2Ge2
Calculated powder diffractogram, Cu Kα X-rays. Input: a cell relaxed with PBE.

Structural model:
```
data_Ho3Ga2Ge2
_symmetry_space_group_name_H-M 'C 1 2/m 1'
_symmetry_Int_Tables_number 12
_symmetry_space_group_name_Hall '-C 2y'
_cell_length_a 10.6597
_cell_length_b 4.2423
_cell_length_c 7.3448
_cell_angle_alpha 90.00
_cell_angle_beta 112.35
_cell_angle_gamma 90.00
loop_
_atom_site_label
_atom_site_fract_x
_atom_site_fract_y
_atom_site_fract_z
Ho1 0.0000 0.0000 0.0000
Ho2 0.1745 0.0000 0.6282
Ga1 0.1911 0.5000 0.9283
Ge1 0.0408 0.5000 0.3386
```

Main lines, sorted by position (5 to 70 degrees two-theta):
(1 1 1), 28.1°, intensity 27; (1 1 -2), 32.3°, intensity 100; (3 1 -1), 33.0°, intensity 56; (4 0 -1), 33.6°, intensity 42; (0 0 3), 39.8°, intensity 25; (3 1 1), 40.7°, intensity 57; (0 2 0), 42.6°, intensity 37; (1 1 -5), 69.8°, intensity 20